# 1
The following is a simulated powder X-ray diffraction pattern of HoSi2Ni10. It was derived from a structure optimized by DFT (GGA-PBE), using a wavelength of 1.5418 Å.
Peak positions follow from Bragg's law for the DFT cell and can differ from measured ones.

Largest 8 diffraction maxima, in order of falling intensity, 5° ≤ 2θ ≤ 70°:
h k l	2θ (°)	I/Imax
4 0 0	44.5	100
2 0 2	44.7	35
3 0 1	38.3	33
2 1 1	31.1	21
0 0 2	38.6	16
2 2 2	50.3	14
3 1 0	34.8	10
4 2 0	50.1	10

Cell and atoms:
abc: 8.1533 8.1533 4.6692
angles: 90.00 90.00 90.00
Space group P4/nmm (No. 129, origin choice 2)
Asymmetric unit:
Ho: 0.2500 0.2500 0.2223 x2
Si: 0.0000 0.0000 0.5000 x4
Ni: 0.0000 0.0000 0.0000 x4
Ni: 0.0272 0.2500 0.7291 x8
Ni: 0.1028 0.7500 0.7612 x8

---

# 2
The following is a simulated powder X-ray diffraction pattern of Ba4LiRh4O12. It was derived from a structure optimized by DFT (GGA-PBE), using a wavelength of 1.5418 Å.
Peak positions follow from Bragg's law for the DFT cell and can differ from measured ones.

Largest 8 diffraction maxima, in order of falling intensity, 5° ≤ 2θ ≤ 70°:
h k l	2θ (°)	I/Imax
1 2 0	30.3	100
2 1 0	30.9	66
0 1 -2	25.4	57
1 1 3	31.9	52
-1 1 1	31.3	32
2 0 3	45.6	29
1 1 -3	32.6	27
2 2 -2	40.4	21

Cell and atoms:
abc: 5.7925 5.9074 9.9874
angles: 87.68 89.98 60.67
Space group P1 (No. 1)
Asymmetric unit:
Ba: 0.0000 0.0000 0.0000 x1
Ba: 0.0572 0.8876 0.4642 x1
Ba: 0.3609 0.2799 0.2455 x1
Ba: 0.7465 0.5081 0.6954 x1
Li: 0.5593 0.8804 0.8641 x1
Rh: 0.3249 0.3500 0.8688 x1
Rh: 0.3865 0.2285 0.5971 x1
Rh: 0.6711 0.6580 0.0919 x1
Rh: 0.7122 0.5770 0.3660 x1
O: 0.0706 0.3412 0.4686 x1
O: 0.2203 0.5614 0.6912 x1
O: 0.2245 0.1214 0.7575 x1
O: 0.3947 0.7581 0.2402 x1
O: 0.4670 0.0611 0.0226 x1
O: 0.4727 0.5818 0.9425 x1
O: 0.5674 0.8630 0.5048 x1
O: 0.5924 0.3388 0.4690 x1
O: 0.6544 0.1212 0.7578 x1
O: 0.8376 0.3270 0.2098 x1
O: 0.8467 0.7597 0.2396 x1
O: 0.9448 0.5830 0.9421 x1

---

# 3
The following is a simulated powder X-ray diffraction pattern of Th5Sn4. It was derived from a structure optimized by DFT (GGA-PBE), using a wavelength of 1.5418 Å.
Peak positions follow from Bragg's law for the DFT cell and can differ from measured ones.

Largest 8 diffraction maxima, in order of falling intensity, 5° ≤ 2θ ≤ 70°:
h k l	2θ (°)	I/Imax
1 1 2	32.9	100
3 0 0	31.9	86
2 1 1	31.2	46
2 2 2	46.5	31
3 0 4	65.8	23
4 1 2	57.5	21
5 1 1	63.2	13
1 1 1	22.8	13

Cell and atoms:
abc: 9.7099 9.7099 6.5888
angles: 90.00 90.00 120.00
Space group P6_3/mcm (No. 193)
Asymmetric unit:
Th: 0.0000 0.2793 0.2500 x6
Th: 0.3333 0.6667 0.0000 x4
Sn: 0.0000 0.0000 0.0000 x2
Sn: 0.0000 0.3811 0.7500 x6

---

# 4
The following is a simulated powder X-ray diffraction pattern of PrAs3. It was derived from a structure optimized by DFT (GGA-PBE), using a wavelength of 1.5418 Å.
Peak positions follow from Bragg's law for the DFT cell and can differ from measured ones.

Largest 8 diffraction maxima, in order of falling intensity, 5° ≤ 2θ ≤ 70°:
h k l	2θ (°)	I/Imax
1 1 1	34.8	100
2 0 0	40.4	49
3 1 1	69.8	39
2 2 0	58.4	33
1 0 0	19.9	9
1 1 0	28.2	8
2 1 0	45.4	4
2 1 1	50.0	3

Cell and atoms:
abc: 4.4686 4.4686 4.4686
angles: 90.00 90.00 90.00
Space group Pm-3m (No. 221)
Asymmetric unit:
Pr: 0.0000 0.0000 0.0000 x1
As: 0.0000 0.5000 0.5000 x3